No. 1
Structure and calculated X-ray powder pattern of Ce7Ir2Pt2 (a crystal structure in Alexandria, relaxed with GGA-PBE; λ = 1.5418 Å (Cu Kα)).
Kinematic intensities with the Lorentz-polarization factor, no thermal factor.

Cell and atoms:
a b c (Å): 7.934 10.670 6.704
angles (deg): 90.00 90.00 90.00
Space group Cmmm (No. 65)
Asymmetric unit:
Ce  0.000  0.000  0.000
Ce  0.000  0.500  0.286
Ce  0.250  0.250  0.285
Ir  0.000  0.289  0.000
Pt  0.169  0.000  0.500

Largest 10 diffraction maxima, in order of rising 2θ, 2θ from 5° to 70°:
- 2θ = 21.28°, 4.175 Å, I 47, hkl 0 2 1
- 2θ = 26.10°, 3.414 Å, I 66, hkl 2 0 1
- 2θ = 30.13°, 2.966 Å, I 35, hkl 1 1 2
- 2θ = 33.60°, 2.668 Å, I 70, hkl 0 4 0
- 2θ = 35.00°, 2.564 Å, I 36, hkl 3 1 0
- 2θ = 37.52°, 2.397 Å, I 21, hkl 3 1 1
- 2θ = 38.61°, 2.332 Å, I 53, hkl 1 3 2
- 2θ = 39.02°, 2.308 Å, I 100, hkl 2 2 2
- 2θ = 43.03°, 2.102 Å, I 22, hkl 2 4 1
- 2θ = 44.79°, 2.023 Å, I 36, hkl 3 3 1

---

No. 2
Structure and calculated X-ray powder pattern of Pm7Dy3Ho (a crystal structure in Alexandria, relaxed with GGA-PBE; λ = 1.5418 Å (Cu Kα)).
Kinematic intensities with the Lorentz-polarization factor, no thermal factor.

Cell and atoms:
a b c (Å): 7.069 5.640 10.027
angles (deg): 90.00 110.57 90.00
Space group P2/m (No. 10)
Asymmetric unit:
Pm  0.000  0.000  0.000
Pm  0.145  0.500  0.292
Pm  0.320  0.500  0.639
Pm  0.414  0.000  0.829
Dy  0.000  0.000  0.500
Dy  0.279  0.500  0.000
Ho  0.500  0.000  0.500

Largest 10 diffraction maxima, in order of rising 2θ, 2θ from 5° to 70°:
- 2θ = 24.69°, 3.606 Å, I 8, hkl 0 1 2
- 2θ = 31.33°, 2.855 Å, I 100, hkl 2 1 -2
- 2θ = 31.72°, 2.821 Å, I 57, hkl 0 2 0
- 2θ = 32.73°, 2.736 Å, I 36, hkl 0 1 3
- 2θ = 45.46°, 1.995 Å, I 17, hkl 2 2 1
- 2θ = 51.73°, 1.767 Å, I 8, hkl 4 0 -2
- 2θ = 56.28°, 1.635 Å, I 19, hkl 2 3 -2
- 2θ = 57.97°, 1.591 Å, I 14, hkl 2 1 4
- 2θ = 61.97°, 1.497 Å, I 9, hkl 4 2 -2
- 2θ = 62.57°, 1.485 Å, I 10, hkl 4 1 1

---

No. 3
Structure and calculated X-ray powder pattern of LiSiBr4 (a crystal structure in Alexandria, relaxed with GGA-PBE; λ = 1.5418 Å (Cu Kα)).
Kinematic intensities with the Lorentz-polarization factor, no thermal factor.

Cell and atoms:
a b c (Å): 6.366 6.366 10.739
angles (deg): 90.00 90.00 90.00
Space group I-4 (No. 82)
Asymmetric unit:
Li  0.000  0.000  0.000
Si  0.000  0.500  0.250
Br  0.216  0.270  0.125

Largest 10 diffraction maxima, in order of rising 2θ, 2θ from 5° to 70°:
- 2θ = 16.19°, 5.476 Å, I 16, hkl 1 0 1
- 2θ = 25.83°, 3.450 Å, I 100, hkl 1 1 2
- 2θ = 28.03°, 3.183 Å, I 30, hkl 2 0 0
- 2θ = 32.54°, 2.752 Å, I 7, hkl 2 1 1
- 2θ = 33.37°, 2.685 Å, I 11, hkl 0 0 4
- 2θ = 40.06°, 2.251 Å, I 15, hkl 2 2 0
- 2θ = 44.13°, 2.052 Å, I 26, hkl 2 0 4
- 2θ = 48.28°, 1.885 Å, I 27, hkl 1 3 2
- 2θ = 53.10°, 1.725 Å, I 8, hkl 2 2 4
- 2θ = 55.23°, 1.663 Å, I 12, hkl 1 1 6